No. 1
For Ba8CaY3Cu12O24, DFT lattice parameters and positions (GGA-PBE) gives the computed X-ray powder pattern in this record (Cu Kα (λ = 1.5418 Å)).
Neutral-atom scattering factors, no anomalous dispersion.

Structural model:
Cell lengths 8.6792, 8.6792, 12.7983 Å; angles 105.77, 105.77, 52.99 degrees
Element x y z (fractional)
1 Ba 0.0749 0.0749 0.2997
2 Ba 0.1740 0.1740 0.6970
3 Ba 0.3255 0.3255 0.3029
4 Ba 0.4242 0.4242 0.6965
5 Ba 0.5758 0.5758 0.3035
6 Ba 0.6745 0.6745 0.6971
7 Ba 0.8260 0.8260 0.3030
8 Ba 0.9251 0.9251 0.7003
9 Ca 0.0000 0.0000 0.0000
10 Y 0.2487 0.2487 0.0000
11 Y 0.5000 0.5000 0.0000
12 Y 0.7513 0.7513 0.0000
13 Cu 0.0000 0.5000 0.5000
14 Cu 0.0919 0.5929 0.8674
15 Cu 0.1581 0.6591 0.1325
16 Cu 0.2495 0.7505 0.5000
17 Cu 0.3409 0.8419 0.8675
18 Cu 0.4071 0.9081 0.1326
19 Cu 0.5000 0.0000 0.5000
20 Cu 0.5929 0.0919 0.8674
21 Cu 0.6591 0.1581 0.1325
22 Cu 0.7505 0.2495 0.5000
23 Cu 0.8419 0.3409 0.8675
24 Cu 0.9081 0.4071 0.1326
25 O 0.0298 0.5298 0.1192
26 O 0.0367 0.5367 0.6480
27 O 0.0974 0.0974 0.8768
28 O 0.1590 0.1590 0.1232
29 O 0.2126 0.7127 0.3520
30 O 0.2275 0.7106 0.8759
31 O 0.2873 0.7874 0.6480
32 O 0.2894 0.7725 0.1241
33 O 0.3439 0.3439 0.8818
34 O 0.4029 0.4029 0.1182
35 O 0.4633 0.9633 0.3520
36 O 0.4702 0.9702 0.8808
37 O 0.5298 0.0298 0.1192
38 O 0.5367 0.0367 0.6480
39 O 0.5971 0.5971 0.8818
40 O 0.6561 0.6561 0.1182
41 O 0.7106 0.2275 0.8759
42 O 0.7127 0.2126 0.3520
43 O 0.7725 0.2894 0.1241
44 O 0.7874 0.2873 0.6480
45 O 0.8410 0.8410 0.8768
46 O 0.9026 0.9026 0.1232
47 O 0.9633 0.4633 0.3520
48 O 0.9702 0.4702 0.8808

Main lines, in order of falling intensity (10° ≤ 2θ ≤ 80°):
- 31.90°, intensity 100
- 32.66°, intensity 63
- 27.25°, intensity 23
- 37.53°, intensity 18
- 57.75°, intensity 18
- 57.85°, intensity 18
- 46.78°, intensity 17
- 46.94°, intensity 17
- 36.86°, intensity 12
- 50.05°, intensity 11
- 68.43°, intensity 10
- 39.65°, intensity 10

=====

No. 2
For Pr2SbO5F, DFT lattice parameters and positions (GGA-PBE) gives the computed X-ray powder pattern in this record (Cu Kα (λ = 1.5418 Å)).
Neutral-atom scattering factors, no anomalous dispersion.

Structural model:
Cell lengths 7.0971, 6.6970, 10.2322 Å; angles 90.00, 93.71, 90.00 degrees
Element x y z (fractional)
1 Pr 0.1231 0.0000 0.0342
2 Pr 0.1303 0.8101 0.6614
3 Pr 0.3702 0.3715 0.8384
4 Pr 0.3728 0.1813 0.4658
5 Pr 0.6272 0.6813 0.5342
6 Pr 0.6298 0.8715 0.1616
7 Pr 0.8697 0.3101 0.3386
8 Pr 0.8769 0.5000 0.9658
9 Sb 0.1134 0.7397 0.3224
10 Sb 0.3920 0.4449 0.1778
11 Sb 0.6080 0.9449 0.8222
12 Sb 0.8866 0.2397 0.6776
13 O 0.0478 0.1596 0.5359
14 O 0.0512 0.0156 0.2711
15 O 0.0813 0.1445 0.8138
16 O 0.1946 0.3548 0.0416
17 O 0.2021 0.4412 0.3239
18 O 0.3013 0.7435 0.1752
19 O 0.3099 0.8263 0.4612
20 O 0.4127 0.0501 0.6895
21 O 0.4481 0.0228 0.9653
22 O 0.4683 0.1755 0.2344
23 O 0.5317 0.6755 0.7656
24 O 0.5519 0.5228 0.0347
25 O 0.5873 0.5501 0.3105
26 O 0.6901 0.3263 0.5388
27 O 0.6987 0.2435 0.8248
28 O 0.7979 0.9412 0.6761
29 O 0.8054 0.8548 0.9584
30 O 0.9187 0.6445 0.1862
31 O 0.9488 0.5156 0.7289
32 O 0.9522 0.6596 0.4641
33 F 0.1688 0.7089 0.8935
34 F 0.3234 0.4702 0.6066
35 F 0.6766 0.9702 0.3934
36 F 0.8312 0.2089 0.1065

Main lines, in order of falling intensity (10° ≤ 2θ ≤ 80°):
- 28.51°, intensity 100
- 25.85°, intensity 44
- 28.04°, intensity 43
- 28.35°, intensity 43
- 29.38°, intensity 34
- 43.59°, intensity 32
- 31.40°, intensity 30
- 34.01°, intensity 28
- 29.85°, intensity 27
- 32.77°, intensity 25
- 30.57°, intensity 20
- 30.34°, intensity 19

=====

No. 3
For Cu5SeO8, DFT lattice parameters and positions (GGA-PBE) gives the computed X-ray powder pattern in this record (Cu Kα (λ = 1.5418 Å)).
Neutral-atom scattering factors, no anomalous dispersion.

Structural model:
Cell lengths 5.9916, 5.9916, 5.9916 Å; angles 60.00, 60.00, 60.00 degrees
Element x y z (fractional)
1 Cu 0.0000 0.0000 0.0000
2 Cu 0.3726 0.3726 0.3726
3 Cu 0.3726 0.3726 0.8823
4 Cu 0.3726 0.8823 0.3726
5 Cu 0.8823 0.3726 0.3726
6 Se 0.7500 0.7500 0.7500
7 O 0.1338 0.1338 0.1338
8 O 0.1338 0.1338 0.5987
9 O 0.1338 0.5987 0.1338
10 O 0.1435 0.6188 0.6188
11 O 0.5987 0.1338 0.1338
12 O 0.6188 0.1435 0.6188
13 O 0.6188 0.6188 0.1435
14 O 0.6188 0.6188 0.6188

Main lines, in order of falling intensity (10° ≤ 2θ ≤ 80°):
- 35.13°, intensity 100
- 61.95°, intensity 43
- 56.43°, intensity 35
- 29.82°, intensity 30
- 42.68°, intensity 16
- 52.94°, intensity 11
- 36.74°, intensity 11
- 73.25°, intensity 10
- 18.13°, intensity 6
- 74.24°, intensity 5
- 70.26°, intensity 4
- 78.15°, intensity 2

=====

What is the formula in the first record? Ba8CaY3Cu12O24